Simulated powder X-ray diffraction pattern
Compound: KAc2CoO5
Radiation: Cu Kα X-rays
Structure: a crystal structure in Alexandria, relaxed with GGA+U
Lines closer than 0.1° are merged.

The 10 most intense peaks (2θ = 10–90°), by angle:
2θ 15.4, d = 5.759 Å, I = 86; 2θ 27.8, d = 3.213 Å, I = 48; 2θ 29.3, d = 3.048 Å, I = 91; 2θ 31.1, d = 2.880 Å, I = 34; 2θ 31.9, d = 2.806 Å, I = 100; 2θ 42.1, d = 2.144 Å, I = 60; 2θ 42.8, d = 2.114 Å, I = 21; 2θ 54.2, d = 1.693 Å, I = 28; 2θ 55.1, d = 1.668 Å, I = 36; 2θ 62.3, d = 1.491 Å, I = 25

Atomic structure:
a b c (Å): 7.1849 7.1849 5.7592
angles (deg): 90.00 90.00 90.00
Fractional coordinates of all 18 atoms:
K 0.0000 0.0000 0.0000
K 0.5000 0.5000 0.0000
Ac 0.1814 0.3186 0.5000
Ac 0.3186 0.8186 0.5000
Ac 0.6814 0.1814 0.5000
Ac 0.8186 0.6814 0.5000
Co 0.0000 0.5000 0.0000
Co 0.5000 0.0000 0.0000
O 0.0000 0.0000 0.5000
O 0.1262 0.6262 0.2322
O 0.1262 0.6262 0.7678
O 0.3738 0.1262 0.2322
O 0.3738 0.1262 0.7678
O 0.5000 0.5000 0.5000
O 0.6262 0.8738 0.2322
O 0.6262 0.8738 0.7678
O 0.8738 0.3738 0.2322
O 0.8738 0.3738 0.7678